Record 1
ErAl10Fe2: computed X-ray diffraction stick pattern (Cu Kα), based on a structure optimized by DFT (PBE).
No peak broadening, texture or thermal motion is included.

Structural model:
```
data_ErAl10Fe2
_chemical_formula_sum 'Er4 Al40 Fe8'
_space_group_name_H-M_alt 'C m c m'
_space_group_IT_number 63
_space_group_name_Hall '-C 2c 2'
_cell_length_a 8.902
_cell_length_b 10.109
_cell_length_c 8.928
_cell_angle_alpha 90.00
_cell_angle_beta 90.00
_cell_angle_gamma 90.00
loop_
_atom_site_label
_atom_site_fract_x
_atom_site_fract_y
_atom_site_fract_z
Er1 0.000 0.126 0.250
Al1 0.000 0.157 0.597
Al2 0.000 0.374 0.048
Al3 0.151 0.371 0.750
Al4 0.225 0.359 0.250
Al5 0.228 0.000 0.000
Fe1 0.250 0.250 0.000
```

Most intense lines, 10° ≤ 2θ ≤ 80°, low angle first:
(hkl)  d [Å]  2theta  Rel. int.
1 1 0  6.681  13.25  42
1 1 1  5.349  16.57  50
2 0 2  3.152  28.32  50
2 2 1  3.128  28.53  45
0 2 3  2.564  34.99  37
3 1 2  2.400  37.47  41
0 0 4  2.230  40.45  51
4 0 0  2.223  40.58  98
0 4 2  2.198  41.06  100
4 4 2  1.565  59.02  40

***

Record 2
ErAl4Fe8: computed X-ray diffraction stick pattern (Cu Kα), based on a structure optimized by DFT (PBE).
No peak broadening, texture or thermal motion is included.

Structural model:
```
data_ErAl4Fe8
_chemical_formula_sum 'Er2 Al8 Fe16'
_space_group_name_H-M_alt 'I 4/m m m'
_space_group_IT_number 139
_space_group_name_Hall '-I 4 2'
_cell_length_a 8.487
_cell_length_b 8.487
_cell_length_c 4.949
_cell_angle_alpha 90.00
_cell_angle_beta 90.00
_cell_angle_gamma 90.00
loop_
_atom_site_label
_atom_site_fract_x
_atom_site_fract_y
_atom_site_fract_z
Er1 0.000 0.000 0.000
Al1 0.000 0.345 0.000
Fe1 0.000 0.230 0.500
Fe2 0.250 0.250 0.250
```

Most intense lines, 10° ≤ 2θ ≤ 80°, low angle first:
(hkl)  d [Å]  2theta  Rel. int.
1 1 0  6.001  14.76  26
2 1 1  3.012  29.66  54
3 0 1  2.456  36.59  13
2 0 2  2.137  42.28  43
4 0 0  2.124  42.57  100
2 2 2  1.909  47.64  17
4 2 2  1.506  61.59  15
4 4 0  1.501  61.82  14
3 2 3  1.351  69.60  12
6 3 1  1.226  77.95  11